Diffraction record for WCl6. The powder diffractogram is computed, not measured: it uses a cell relaxed with GGA-PBE and Cu Kα X-rays.
Lines closer than 0.1° are merged.

Top 10 peaks for 10° ≤ 2θ ≤ 90°, most intense first:
Position (°2θ)  d/Å  I_rel  index
16.7  5.300  100  1 1 0
18.2  4.884  69  0 1 1
43.1  2.099  32  3 0 2
33.1  2.703  32  3 0 1
24.8  3.592  31  2 0 1
30.1  2.973  27  1 2 1
38.7  2.329  19  3 1 1
35.4  2.533  19  1 1 2
51.7  1.767  17  3 3 0
46.5  1.951  15  2 2 2

Structure:
```
WCl6
1.0
10.6010 0.0000 0.0000
-5.3005 9.1807 0.0000
0.0000 0.0000 5.7680
W Cl
3 18
Cartesian
0.0000 0.0000 0.0000
0.0000 6.1205 2.7560
5.3005 3.0602 3.0121
0.0000 1.8824 1.3258
-3.6702 8.2395 1.3258
-1.6284 5.1803 1.4254
1.6302 0.9412 4.4422
0.0000 4.2419 4.0882
-1.6269 7.0598 4.0882
1.6284 5.1803 1.4254
0.0000 8.0008 1.4254
3.6736 2.1210 1.6798
1.6269 7.0598 4.0882
5.3005 1.1799 4.3426
3.6721 4.0004 4.3426
6.9274 2.1210 1.6798
5.3005 4.9388 1.6798
3.6703 8.2395 1.3258
6.9289 4.0004 4.3426
8.9707 0.9412 4.4422
5.3005 7.2983 4.4422
```